Diffraction record for GdDyNi2B2N2. The powder X-ray diffraction pattern is theoretical, not measured: it uses a PBE-relaxed structure and Cu Kα, 1.54184 Å.
Intensities are scaled so that the largest is 100.

Most intense lines, 2θ = 10–80°, in order of rising 2θ:
Position (°2θ)  I/Imax  h k l
28.1  100.0  1 0 1
35.0  67.3  1 0 2
35.9  48.9  0 0 3
36.2  23.7  1 1 0
38.2  68.2  1 1 1
43.7  50.3  1 1 2
52.1  37.1  2 0 0
60.3  25.7  2 1 1
64.4  23.8  2 1 2
64.9  33.1  2 0 3

Cell and atoms:
a b c (Å): 3.5080 3.5080 7.5134
angles (deg): 90.00 90.00 90.00
Positions (direct):
Gd  0.0000  0.0000  0.0000
Dy  0.5000  0.5000  0.6638
Ni  0.0000  0.5000  0.3321
Ni  0.5000  0.0000  0.3321
B  0.0000  0.0000  0.4903
B  0.5000  0.5000  0.1715
N  0.0000  0.0000  0.6846
N  0.5000  0.5000  0.9765

---

Diffraction record for GdDyNi8B2. The powder X-ray diffraction pattern is theoretical, not measured: it uses a PBE-relaxed structure and Cu Kα, 1.54184 Å.
Intensities are scaled so that the largest is 100.

Most intense lines, 2θ = 10–80°, in order of rising 2θ:
Position (°2θ)  I/Imax  h k l
33.0  89.0  1 0 2
35.9  30.9  1 1 0
41.7  74.5  2 0 0
44.6  100.0  1 1 2
52.5  13.0  0 0 4
62.7  28.0  2 1 2
65.3  15.2  1 1 4
69.2  15.1  2 0 4
70.7  24.2  3 0 2
76.2  20.9  2 2 0

Cell and atoms:
a b c (Å): 4.9987 4.9987 6.9686
angles (deg): 90.00 90.00 120.00
Positions (direct):
Gd  0.0000  0.0000  0.0000
Dy  0.0000  0.0000  0.5000
Ni  0.0000  0.5000  0.2076
Ni  0.0000  0.5000  0.7924
Ni  0.3333  0.6667  0.5000
Ni  0.5000  0.0000  0.2076
Ni  0.5000  0.0000  0.7924
Ni  0.5000  0.5000  0.2076
Ni  0.5000  0.5000  0.7924
Ni  0.6667  0.3333  0.5000
B  0.3333  0.6667  0.0000
B  0.6667  0.3333  0.0000

---

Diffraction record for DyBH8SO10. The powder X-ray diffraction pattern is theoretical, not measured: it uses a PBE-relaxed structure and Cu Kα, 1.54184 Å.
Intensities are scaled so that the largest is 100.

Most intense lines, 2θ = 10–80°, in order of rising 2θ:
Position (°2θ)  I/Imax  h k l
15.0  66.7  0 1 1
15.6  88.4  1 0 0
17.7  57.9  0 1 -1
19.0  100.0  0 0 2
20.7  40.6  1 1 0
21.7  42.3  1 0 2
23.1  34.2  -1 1 1
26.9  79.6  0 2 1
29.5  35.4  0 1 3
36.8  34.6  -2 1 1

Cell and atoms:
a b c (Å): 5.8521 6.7432 9.7341
angles (deg): 79.86 76.83 88.38
Positions (direct):
Dy  0.0822  0.3198  0.2758
Dy  0.9178  0.6802  0.7242
B  0.4167  0.6647  0.7314
B  0.5833  0.3353  0.2686
H  0.1784  0.8054  0.1171
H  0.2231  0.7405  0.9188
H  0.2403  0.4069  0.9558
H  0.2610  0.0141  0.0164
H  0.4148  0.7212  0.5148
H  0.4337  0.2552  0.0066
H  0.4687  0.6222  0.2876
H  0.5002  0.0274  0.3013
H  0.4998  0.9726  0.6987
H  0.5313  0.3778  0.7124
H  0.5663  0.7448  0.9934
H  0.5852  0.2788  0.4852
H  0.7390  0.9859  0.9836
H  0.7597  0.5931  0.0442
H  0.7769  0.2595  0.0812
H  0.8216  0.1946  0.8829
S  0.1324  0.2035  0.6542
S  0.8676  0.7965  0.3458
O  0.0213  0.3393  0.7555
O  0.0273  0.0022  0.7149
O  0.0845  0.2767  0.5131
O  0.2096  0.6385  0.8566
O  0.2643  0.2892  0.0300
O  0.2885  0.8678  0.0272
O  0.3094  0.6744  0.6091
O  0.3903  0.1973  0.6466
O  0.4202  0.5044  0.2535
O  0.4361  0.1621  0.2736
O  0.5639  0.8379  0.7264
O  0.5798  0.4956  0.7465
O  0.6097  0.8027  0.3534
O  0.6906  0.3256  0.3909
O  0.7115  0.1322  0.9728
O  0.7357  0.7108  0.9700
O  0.7904  0.3615  0.1434
O  0.9155  0.7233  0.4869
O  0.9727  0.9978  0.2851
O  0.9787  0.6607  0.2445

---

Diffraction record for DyHfB4. The powder X-ray diffraction pattern is theoretical, not measured: it uses a PBE-relaxed structure and Cu Kα, 1.54184 Å.
Intensities are scaled so that the largest is 100.

Most intense lines, 2θ = 10–80°, in order of rising 2θ:
Position (°2θ)  I/Imax  h k l
24.1  47.4  0 0 2
32.3  77.6  1 0 0
40.7  100.0  1 0 2
49.4  10.2  0 0 4
57.6  19.5  1 1 0
60.3  27.2  1 0 4
63.4  21.5  1 1 2
67.6  9.6  2 0 0
72.9  17.9  2 0 2
79.3  15.3  1 1 4

Cell and atoms:
a b c (Å): 3.2006 3.2006 7.3780
angles (deg): 90.00 90.00 120.00
Positions (direct):
Dy  0.0000  0.0000  0.0000
Hf  0.0000  0.0000  0.5000
B  0.3333  0.6667  0.2677
B  0.3333  0.6667  0.7323
B  0.6667  0.3333  0.2677
B  0.6667  0.3333  0.7323

---

Please write out number 3 again, unchanged.
Diffraction record for DyBH8SO10. The powder X-ray diffraction pattern is theoretical, not measured: it uses a PBE-relaxed structure and Cu Kα, 1.54184 Å.
Intensities are scaled so that the largest is 100.

Most intense lines, 2θ = 10–80°, in order of rising 2θ:
Position (°2θ)  I/Imax  h k l
15.0  66.7  0 1 1
15.6  88.4  1 0 0
17.7  57.9  0 1 -1
19.0  100.0  0 0 2
20.7  40.6  1 1 0
21.7  42.3  1 0 2
23.1  34.2  -1 1 1
26.9  79.6  0 2 1
29.5  35.4  0 1 3
36.8  34.6  -2 1 1

Cell and atoms:
a b c (Å): 5.8521 6.7432 9.7341
angles (deg): 79.86 76.83 88.38
Positions (direct):
Dy  0.0822  0.3198  0.2758
Dy  0.9178  0.6802  0.7242
B  0.4167  0.6647  0.7314
B  0.5833  0.3353  0.2686
H  0.1784  0.8054  0.1171
H  0.2231  0.7405  0.9188
H  0.2403  0.4069  0.9558
H  0.2610  0.0141  0.0164
H  0.4148  0.7212  0.5148
H  0.4337  0.2552  0.0066
H  0.4687  0.6222  0.2876
H  0.5002  0.0274  0.3013
H  0.4998  0.9726  0.6987
H  0.5313  0.3778  0.7124
H  0.5663  0.7448  0.9934
H  0.5852  0.2788  0.4852
H  0.7390  0.9859  0.9836
H  0.7597  0.5931  0.0442
H  0.7769  0.2595  0.0812
H  0.8216  0.1946  0.8829
S  0.1324  0.2035  0.6542
S  0.8676  0.7965  0.3458
O  0.0213  0.3393  0.7555
O  0.0273  0.0022  0.7149
O  0.0845  0.2767  0.5131
O  0.2096  0.6385  0.8566
O  0.2643  0.2892  0.0300
O  0.2885  0.8678  0.0272
O  0.3094  0.6744  0.6091
O  0.3903  0.1973  0.6466
O  0.4202  0.5044  0.2535
O  0.4361  0.1621  0.2736
O  0.5639  0.8379  0.7264
O  0.5798  0.4956  0.7465
O  0.6097  0.8027  0.3534
O  0.6906  0.3256  0.3909
O  0.7115  0.1322  0.9728
O  0.7357  0.7108  0.9700
O  0.7904  0.3615  0.1434
O  0.9155  0.7233  0.4869
O  0.9727  0.9978  0.2851
O  0.9787  0.6607  0.2445

---

Please write out number 3 again, unchanged.
Diffraction record for DyBH8SO10. The powder X-ray diffraction pattern is theoretical, not measured: it uses a PBE-relaxed structure and Cu Kα, 1.54184 Å.
Intensities are scaled so that the largest is 100.

Most intense lines, 2θ = 10–80°, in order of rising 2θ:
Position (°2θ)  I/Imax  h k l
15.0  66.7  0 1 1
15.6  88.4  1 0 0
17.7  57.9  0 1 -1
19.0  100.0  0 0 2
20.7  40.6  1 1 0
21.7  42.3  1 0 2
23.1  34.2  -1 1 1
26.9  79.6  0 2 1
29.5  35.4  0 1 3
36.8  34.6  -2 1 1

Cell and atoms:
a b c (Å): 5.8521 6.7432 9.7341
angles (deg): 79.86 76.83 88.38
Positions (direct):
Dy  0.0822  0.3198  0.2758
Dy  0.9178  0.6802  0.7242
B  0.4167  0.6647  0.7314
B  0.5833  0.3353  0.2686
H  0.1784  0.8054  0.1171
H  0.2231  0.7405  0.9188
H  0.2403  0.4069  0.9558
H  0.2610  0.0141  0.0164
H  0.4148  0.7212  0.5148
H  0.4337  0.2552  0.0066
H  0.4687  0.6222  0.2876
H  0.5002  0.0274  0.3013
H  0.4998  0.9726  0.6987
H  0.5313  0.3778  0.7124
H  0.5663  0.7448  0.9934
H  0.5852  0.2788  0.4852
H  0.7390  0.9859  0.9836
H  0.7597  0.5931  0.0442
H  0.7769  0.2595  0.0812
H  0.8216  0.1946  0.8829
S  0.1324  0.2035  0.6542
S  0.8676  0.7965  0.3458
O  0.0213  0.3393  0.7555
O  0.0273  0.0022  0.7149
O  0.0845  0.2767  0.5131
O  0.2096  0.6385  0.8566
O  0.2643  0.2892  0.0300
O  0.2885  0.8678  0.0272
O  0.3094  0.6744  0.6091
O  0.3903  0.1973  0.6466
O  0.4202  0.5044  0.2535
O  0.4361  0.1621  0.2736
O  0.5639  0.8379  0.7264
O  0.5798  0.4956  0.7465
O  0.6097  0.8027  0.3534
O  0.6906  0.3256  0.3909
O  0.7115  0.1322  0.9728
O  0.7357  0.7108  0.9700
O  0.7904  0.3615  0.1434
O  0.9155  0.7233  0.4869
O  0.9727  0.9978  0.2851
O  0.9787  0.6607  0.2445